(1)
Diffraction record for UPbI6. The XRD peak list is theoretical, not measured: it uses a DFT-relaxed cell (PBE, Alexandria) and CuKα.

Peak list (8 most intense, 15 to 90 degrees two-theta, most intense first)
d 3.393, 2θ = 26.3°, I = 100; d 2.619, 2θ = 34.2°, I = 82; d 4.876, 2θ = 18.2°, I = 61; d 2.228, 2θ = 40.5°, I = 56; d 2.023, 2θ = 44.8°, I = 23; d 1.392, 2θ = 67.3°, I = 22; d 2.381, 2θ = 37.8°, I = 22; d 1.697, 2θ = 54.1°, I = 21

Atomic structure:
a = 7.7165 Å, b = 7.7165 Å, c = 14.2592 Å
α = 90.00°, β = 90.00°, γ = 120.00°
Element x y z (fractional)
U 0.0000 0.0000 0.0000
U 0.0000 0.0000 0.5000
Pb 0.3333 0.6667 0.2500
Pb 0.6667 0.3333 0.7500
I 0.0136 0.3279 0.8794
I 0.0136 0.6858 0.6206
I 0.3142 0.3279 0.6206
I 0.3142 0.9864 0.8794
I 0.3279 0.0136 0.3794
I 0.3279 0.3142 0.1206
I 0.6721 0.6858 0.8794
I 0.6721 0.9864 0.6206
I 0.6858 0.0136 0.1206
I 0.6858 0.6721 0.3794
I 0.9864 0.3142 0.3794
I 0.9864 0.6721 0.1206

=====

(2)
Diffraction record for Ca3TbCe2P6. The XRD peak list is theoretical, not measured: it uses a DFT-relaxed cell (PBE, Alexandria) and CuKα.

Peak list (8 most intense, 15 to 90 degrees two-theta, most intense first)
d 2.904, 2θ = 30.8°, I = 100; d 3.364, 2θ = 26.5°, I = 37; d 2.063, 2θ = 43.9°, I = 36; d 2.043, 2θ = 44.3°, I = 35; d 3.518, 2θ = 25.3°, I = 26; d 1.682, 2θ = 54.6°, I = 19; d 1.304, 2θ = 72.5°, I = 16; d 1.293, 2θ = 73.2°, I = 15

Atomic structure:
a = 7.1487 Å, b = 7.1487 Å, c = 7.0557 Å
α = 99.72°, β = 99.72°, γ = 120.03°
Element x y z (fractional)
Ca 0.0000 0.0000 0.0000
Ca 0.3342 0.6657 0.0000
Ca 0.6657 0.3342 0.0000
Tb 0.5000 0.5000 0.5000
Ce 0.1665 0.8335 0.5000
Ce 0.8335 0.1665 0.5000
P 0.0865 0.4221 0.2662
P 0.2424 0.2424 0.7342
P 0.4221 0.0865 0.2662
P 0.5779 0.9135 0.7338
P 0.7575 0.7575 0.2658
P 0.9135 0.5779 0.7338

=====

(3)
Diffraction record for Nd2Dy2ErSc. The XRD peak list is theoretical, not measured: it uses a DFT-relaxed cell (PBE, Alexandria) and CuKα.

Peak list (8 most intense, 15 to 90 degrees two-theta, most intense first)
d 2.801, 2θ = 31.9°, I = 100; d 1.616, 2θ = 57.0°, I = 26; d 1.981, 2θ = 45.8°, I = 16; d 2.171, 2θ = 41.6°, I = 16; d 1.466, 2θ = 63.5°, I = 16; d 3.441, 2θ = 25.9°, I = 9; d 1.178, 2θ = 81.8°, I = 7; d 1.252, 2θ = 76.0°, I = 7

Atomic structure:
a = 6.8814 Å, b = 5.5946 Å, c = 9.6958 Å
α = 90.00°, β = 90.00°, γ = 90.00°
Element x y z (fractional)
Nd 0.0000 0.0000 0.0000
Nd 0.2500 0.5000 0.1854
Nd 0.5000 0.0000 0.0000
Nd 0.7500 0.5000 0.8146
Dy 0.2500 0.0000 0.3334
Dy 0.2500 0.5000 0.8348
Dy 0.7500 0.0000 0.6666
Dy 0.7500 0.5000 0.1652
Er 0.2500 0.0000 0.6534
Er 0.7500 0.0000 0.3466
Sc 0.0000 0.5000 0.5000
Sc 0.5000 0.5000 0.5000